Entry 1:
Calculated powder diffractogram of Al7C3N3 for Cu Kα X-rays, from DFT lattice parameters and positions (PBE).

Crystal structure
abc: 3.251 3.251 32.079
angles: 90.00 90.00 120.00
Fractional coordinates of all 26 atoms:
Al1 0.000 0.000 0.000
Al2 0.000 0.000 0.130
Al3 0.000 0.000 0.281
Al4 0.000 0.000 0.500
Al5 0.000 0.000 0.630
Al6 0.000 0.000 0.781
Al7 0.333 0.667 0.073
Al8 0.333 0.667 0.202
Al9 0.333 0.667 0.359
Al10 0.333 0.667 0.921
Al11 0.667 0.333 0.421
Al12 0.667 0.333 0.573
Al13 0.667 0.333 0.702
Al14 0.667 0.333 0.859
C1 0.000 0.000 0.060
C2 0.000 0.000 0.389
C3 0.000 0.000 0.560
C4 0.000 0.000 0.889
C5 0.333 0.667 0.141
C6 0.667 0.333 0.641
N1 0.000 0.000 0.223
N2 0.000 0.000 0.723
N3 0.333 0.667 0.301
N4 0.333 0.667 0.977
N5 0.667 0.333 0.477
N6 0.667 0.333 0.801

The 8 most intense peaks (2θ from 10° to 90°), most intense first:
(hkl)  2θ (°)  I (rel.)
1 1 0  56.62  100
1 0 1  31.90  98
1 0 8  39.09  74
0 0 14  39.32  51
1 1 14  71.10  50
1 0 7  37.49  49
1 0 18  61.59  37
1 0 13  49.09  29

Entry 2:
Calculated powder diffractogram of Th3Sn13Rh4 for Cu Kα X-rays, from DFT lattice parameters and positions (PBE).

Crystal structure
abc: 9.816 9.816 9.816
angles: 90.00 90.00 90.00
Fractional coordinates of all 40 atoms:
Th1 0.000 0.250 0.500
Th2 0.000 0.750 0.500
Th3 0.250 0.500 0.000
Th4 0.500 0.000 0.250
Th5 0.500 0.000 0.750
Th6 0.750 0.500 0.000
Sn1 0.000 0.000 0.000
Sn2 0.000 0.308 0.152
Sn3 0.000 0.308 0.848
Sn4 0.000 0.692 0.152
Sn5 0.000 0.692 0.848
Sn6 0.152 0.000 0.308
Sn7 0.152 0.000 0.692
Sn8 0.192 0.500 0.348
Sn9 0.192 0.500 0.652
Sn10 0.308 0.152 0.000
Sn11 0.308 0.848 0.000
Sn12 0.348 0.192 0.500
Sn13 0.348 0.808 0.500
Sn14 0.500 0.348 0.192
Sn15 0.500 0.348 0.808
Sn16 0.500 0.500 0.500
Sn17 0.500 0.652 0.192
Sn18 0.500 0.652 0.808
Sn19 0.652 0.192 0.500
Sn20 0.652 0.808 0.500
Sn21 0.692 0.152 0.000
Sn22 0.692 0.848 0.000
Sn23 0.808 0.500 0.348
Sn24 0.808 0.500 0.652
Sn25 0.848 0.000 0.308
Sn26 0.848 0.000 0.692
Rh1 0.250 0.250 0.250
Rh2 0.250 0.250 0.750
Rh3 0.250 0.750 0.250
Rh4 0.250 0.750 0.750
Rh5 0.750 0.250 0.250
Rh6 0.750 0.250 0.750
Rh7 0.750 0.750 0.250
Rh8 0.750 0.750 0.750

The 8 most intense peaks (2θ from 10° to 90°), most intense first:
(hkl)  2θ (°)  I (rel.)
3 2 0  32.90  100
3 2 1  34.18  39
4 0 0  36.62  23
5 3 2  57.91  16
6 2 2  62.79  16
4 2 2  45.26  13
4 3 3  54.51  13
6 5 4  87.13  12